1.
Theoretical X-ray powder pattern of KLiSeBr for Cu Kα, from a structure optimized by DFT (GGA-PBE).
Intensities are scaled so that the largest is 100.

Structural model:
a b c (Å): 16.395 4.008 3.222
angles (deg): 90.00 101.05 90.00
Space group Cm (No. 8)
Symmetry-distinct sites (fractional):
K1 0.000 0.000 0.000 (multiplicity 2)
Li1 0.218 0.000 0.209 (multiplicity 2)
Se1 0.148 0.500 0.643 (multiplicity 2)
Br1 0.375 0.000 0.378 (multiplicity 2)

Peak list (8 most intense, 10° ≤ 2θ ≤ 90°, by angle)
hkl  2theta  d/Å  I/Imax
4 0 0  22.10  4.023  38
1 1 0  22.87  3.889  22
3 1 0  27.79  3.211  100
2 0 1  32.35  2.768  32
4 0 -1  32.49  2.756  34
1 1 -1  35.76  2.511  93
0 2 0  45.25  2.004  18
4 2 -1  56.76  1.622  25

2.
Theoretical X-ray powder pattern of Mg2HOsAu for Cu Kα, from a structure optimized by DFT (GGA-PBE).
Intensities are scaled so that the largest is 100.

Structural model:
a b c (Å): 5.103 5.103 3.265
angles (deg): 90.00 90.00 90.00
Space group P4/mmm (No. 123)
Symmetry-distinct sites (fractional):
Mg1 0.000 0.500 0.000 (multiplicity 2)
H1 0.000 0.000 0.500 (multiplicity 1)
Os1 0.000 0.000 0.000 (multiplicity 1)
Au1 0.500 0.500 0.500 (multiplicity 1)

Peak list (8 most intense, 10° ≤ 2θ ≤ 90°, by angle)
hkl  2theta  d/Å  I/Imax
1 1 0  24.67  3.608  76
1 0 1  32.56  2.750  100
2 0 0  35.18  2.551  53
2 1 1  48.68  1.870  66
2 2 0  50.60  1.804  19
3 1 0  57.08  1.614  16
3 0 1  61.47  1.508  17
3 2 1  72.84  1.298  20

3.
Theoretical X-ray powder pattern of ZrTe3O8 for Cu Kα, from a structure optimized by DFT (GGA-PBE).
Intensities are scaled so that the largest is 100.

Structural model:
a b c (Å): 11.587 11.587 11.587
angles (deg): 90.00 90.00 90.00
Space group Ia-3 (No. 206)
Symmetry-distinct sites (fractional):
Zr1 0.250 0.250 0.250 (multiplicity 8)
Te1 0.000 0.250 0.051 (multiplicity 24)
O1 0.084 0.084 0.084 (multiplicity 16)
O2 0.109 0.185 0.655 (multiplicity 48)

Peak list (8 most intense, 10° ≤ 2θ ≤ 90°, by angle)
hkl  2theta  d/Å  I/Imax
2 1 1  18.76  4.730  41
2 2 2  26.65  3.345  100
3 1 2  28.83  3.097  27
4 0 0  30.87  2.897  31
4 1 1  32.79  2.731  18
4 3 1  39.66  2.272  14
4 4 0  44.22  2.048  26
6 2 2  52.38  1.747  22

4.
Theoretical X-ray powder pattern of AcCe6Pb6 for Cu Kα, from a structure optimized by DFT (GGA-PBE).
Intensities are scaled so that the largest is 100.

Structural model:
a b c (Å): 6.472 11.296 11.313
angles (deg): 90.00 90.00 90.00
Space group Cmmm (No. 65)
Symmetry-distinct sites (fractional):
Ac1 0.000 0.000 0.000 (multiplicity 2)
Ce1 0.000 0.500 0.245 (multiplicity 4)
Ce2 0.250 0.250 0.250 (multiplicity 8)
Pb1 0.000 0.000 0.309 (multiplicity 4)
Pb2 0.000 0.329 0.000 (multiplicity 4)
Pb3 0.000 0.340 0.500 (multiplicity 4)

Peak list (8 most intense, 10° ≤ 2θ ≤ 90°, by angle)
hkl  2theta  d/Å  I/Imax
1 3 0  27.40  3.255  44
1 1 3  28.50  3.132  32
0 0 4  31.68  2.824  100
2 2 0  31.87  2.808  48
0 4 2  35.53  2.527  39
2 2 2  35.70  2.515  57
2 0 6  56.43  1.631  33
2 6 0  56.55  1.627  23

5.
Theoretical X-ray powder pattern of LiInAgI5 for Cu Kα, from a structure optimized by DFT (GGA-PBE).
Intensities are scaled so that the largest is 100.

Structural model:
a b c (Å): 12.623 11.472 10.856
angles (deg): 90.00 116.55 90.00
Space group C2/c (No. 15)
Symmetry-distinct sites (fractional):
Li1 0.000 0.000 0.000 (multiplicity 4)
In1 0.000 0.335 0.250 (multiplicity 4)
Ag1 0.000 0.338 0.750 (multiplicity 4)
I1 0.000 0.102 0.750 (multiplicity 4)
I2 0.132 0.203 0.158 (multiplicity 8)
I3 0.154 0.492 0.443 (multiplicity 8)

Peak list (8 most intense, 10° ≤ 2θ ≤ 90°, by angle)
hkl  2theta  d/Å  I/Imax
2 0 -2  18.00  4.928  50
3 1 -1  22.55  3.943  52
2 2 -2  23.81  3.737  100
0 2 2  24.01  3.706  56
3 3 0  33.40  2.682  67
4 0 -4  36.43  2.466  66
3 5 -2  45.74  1.983  41
6 0 -4  46.02  1.972  65

6.
Theoretical X-ray powder pattern of Pm4Mg5Sn6 for Cu Kα, from a structure optimized by DFT (GGA-PBE).
Intensities are scaled so that the largest is 100.

Structural model:
a b c (Å): 4.717 20.877 16.690
angles (deg): 90.00 90.00 90.00
Space group Cmc2_1 (No. 36)
Symmetry-distinct sites (fractional):
Pm1 0.000 0.017 0.000 (multiplicity 4)
Pm2 0.000 0.034 0.265 (multiplicity 4)
Pm3 0.000 0.162 0.801 (multiplicity 4)
Pm4 0.000 0.174 0.442 (multiplicity 4)
Mg1 0.000 0.155 0.125 (multiplicity 4)
Mg2 0.000 0.304 0.119 (multiplicity 4)
Mg3 0.000 0.341 0.772 (multiplicity 4)
Mg4 0.000 0.348 0.481 (multiplicity 4)
Mg5 0.000 0.440 0.179 (multiplicity 4)
Sn1 0.000 0.110 0.616 (multiplicity 4)
Sn2 0.000 0.227 0.976 (multiplicity 4)
Sn3 0.000 0.235 0.268 (multiplicity 4)
Sn4 0.000 0.429 0.911 (multiplicity 4)
Sn5 0.000 0.430 0.629 (multiplicity 4)
Sn6 0.000 0.441 0.353 (multiplicity 4)

Peak list (8 most intense, 10° ≤ 2θ ≤ 90°, by angle)
hkl  2theta  d/Å  I/Imax
0 4 4  27.37  3.259  30
1 5 0  28.55  3.126  30
1 1 4  28.89  3.091  54
1 5 1  29.06  3.073  30
1 5 3  32.86  2.725  100
2 0 0  38.16  2.358  54
0 10 3  46.46  1.955  24
2 10 3  61.63  1.505  21